# KCdCu7Se2Cl9O8
Theoretical powder XRD pattern, a wavelength of 1.5418 Å. Input: a DFT-relaxed cell (GGA-PBE, the Materials Project).
Lines closer than 0.1° are merged.

Most intense lines, 2θ = 10–90°, in order of rising 2θ:
11.23°, intensity 89, hkl 0 0 2
11.51°, intensity 52, hkl 1 0 0
12.81°, intensity 65, hkl 1 0 1
20.01°, intensity 100, hkl 1 1 0
23.15°, intensity 95, hkl 2 0 0
28.78°, intensity 86, hkl 2 0 3
34.13°, intensity 58, hkl 0 0 6
35.31°, intensity 63, hkl 2 1 3
39.12°, intensity 55, hkl 3 0 3
40.67°, intensity 82, hkl 2 2 0

Crystal structure
a = 8.874 Å, b = 8.874 Å, c = 15.763 Å
α = 90.00°, β = 90.00°, γ = 120.00°
Positions (direct):
K 0.000 0.000 0.250
K 0.000 0.000 0.750
Cd 0.000 0.000 0.000
Cd 0.000 0.000 0.500
Cu 0.095 0.548 0.092
Cu 0.095 0.548 0.408
Cu 0.333 0.667 0.250
Cu 0.452 0.548 0.092
Cu 0.452 0.548 0.408
Cu 0.452 0.905 0.092
Cu 0.452 0.905 0.408
Cu 0.548 0.095 0.592
Cu 0.548 0.095 0.908
Cu 0.548 0.452 0.592
Cu 0.548 0.452 0.908
Cu 0.667 0.333 0.750
Cu 0.905 0.452 0.592
Cu 0.905 0.452 0.908
Se 0.333 0.667 0.599
Se 0.333 0.667 0.901
Se 0.667 0.333 0.099
Se 0.667 0.333 0.401
Cl 0.018 0.509 0.250
Cl 0.139 0.278 0.101
Cl 0.139 0.278 0.399
Cl 0.139 0.861 0.101
Cl 0.139 0.861 0.399
Cl 0.278 0.139 0.601
Cl 0.278 0.139 0.899
Cl 0.491 0.509 0.250
Cl 0.491 0.982 0.250
Cl 0.509 0.018 0.750
Cl 0.509 0.491 0.750
Cl 0.722 0.861 0.101
Cl 0.722 0.861 0.399
Cl 0.861 0.139 0.601
Cl 0.861 0.139 0.899
Cl 0.861 0.722 0.601
Cl 0.861 0.722 0.899
Cl 0.982 0.491 0.750
O 0.136 0.568 0.545
O 0.136 0.568 0.955
O 0.333 0.667 0.128
O 0.333 0.667 0.372
O 0.432 0.568 0.545
O 0.432 0.568 0.955
O 0.432 0.864 0.545
O 0.432 0.864 0.955
O 0.568 0.136 0.045
O 0.568 0.136 0.455
O 0.568 0.432 0.045
O 0.568 0.432 0.455
O 0.667 0.333 0.628
O 0.667 0.333 0.872
O 0.864 0.432 0.045
O 0.864 0.432 0.455